# Mn5CuP6O24
Simulated powder X-ray diffraction pattern, Cu Kα (weighted mean of Kα1 and Kα2). Input: a crystal structure in Alexandria, relaxed with PBE+U.
No peak broadening, texture or thermal motion is included.

Principal peaks in the range 10° ≤ 2θ ≤ 90°, sorted by position:
d [Å]	2θ (°)	Rel. int.
4.282	20.7	100
3.654	24.4	97
3.031	29.5	15
2.777	32.2	17
2.713	33.0	76
2.471	36.4	39
1.918	47.4	32
1.827	49.9	28
1.619	56.9	41
1.469	63.3	21

Crystal structure
```
Mn5CuP6O24
1.0
4.280 2.471 7.019
-4.280 2.471 7.019
0.000 -4.942 7.019
Mn Cu P O
5 1 6 24
direct
0.000 0.000 0.000
0.144 0.144 0.144
0.288 0.288 0.288
0.501 0.501 0.501
0.646 0.646 0.646
0.788 0.788 0.788
0.105 0.393 0.683
0.185 0.893 0.602
0.393 0.683 0.105
0.602 0.185 0.893
0.683 0.105 0.393
0.893 0.602 0.185
0.026 0.847 0.621
0.059 0.403 0.212
0.089 0.227 0.881
0.146 0.325 0.527
0.154 0.947 0.764
0.212 0.059 0.403
0.227 0.881 0.089
0.263 0.450 0.653
0.325 0.527 0.146
0.382 0.726 0.589
0.403 0.212 0.059
0.450 0.653 0.263
0.527 0.146 0.325
0.558 0.691 0.911
0.589 0.382 0.726
0.621 0.026 0.847
0.653 0.263 0.450
0.691 0.911 0.558
0.726 0.589 0.382
0.764 0.154 0.947
0.847 0.621 0.026
0.881 0.089 0.227
0.911 0.558 0.691
0.947 0.764 0.154
```

# TiMn3Cu2P6O24
Simulated powder X-ray diffraction pattern, Cu Kα (weighted mean of Kα1 and Kα2). Input: a crystal structure in Alexandria, relaxed with PBE+U.
No peak broadening, texture or thermal motion is included.

Principal peaks in the range 10° ≤ 2θ ≤ 90°, sorted by position:
d [Å]	2θ (°)	Rel. int.
4.289	20.7	98
3.652	24.4	100
3.500	25.4	22
2.702	33.2	74
2.477	36.3	40
1.912	47.6	36
1.826	49.9	29
1.621	56.8	26
1.617	56.9	18
1.470	63.3	21

Crystal structure
```
TiMn3Cu2P6O24
1.0
4.290 2.477 6.959
-4.290 2.477 6.959
0.000 -4.954 6.959
Ti Mn Cu P O
1 3 2 6 24
direct
0.000 0.000 0.000
0.214 0.214 0.214
0.499 0.499 0.499
0.714 0.714 0.714
0.356 0.356 0.356
0.858 0.858 0.858
0.107 0.815 0.402
0.317 0.605 0.897
0.402 0.107 0.815
0.605 0.897 0.317
0.815 0.402 0.107
0.897 0.317 0.605
0.043 0.862 0.239
0.095 0.304 0.440
0.118 0.769 0.920
0.168 0.971 0.369
0.239 0.043 0.862
0.272 0.618 0.409
0.304 0.440 0.095
0.348 0.546 0.740
0.369 0.168 0.971
0.409 0.272 0.618
0.440 0.095 0.304
0.472 0.670 0.862
0.546 0.740 0.348
0.599 0.943 0.797
0.618 0.409 0.272
0.670 0.862 0.472
0.740 0.348 0.546
0.769 0.920 0.118
0.797 0.599 0.943
0.862 0.239 0.043
0.862 0.472 0.670
0.920 0.118 0.769
0.943 0.797 0.599
0.971 0.369 0.168
```

# MnV3Cu2P6O24
Simulated powder X-ray diffraction pattern, Cu Kα (weighted mean of Kα1 and Kα2). Input: a crystal structure in Alexandria, relaxed with PBE+U.
No peak broadening, texture or thermal motion is included.

Principal peaks in the range 10° ≤ 2θ ≤ 90°, sorted by position:
d [Å]	2θ (°)	Rel. int.
4.306	20.6	87
3.662	24.3	100
3.511	25.4	22
2.706	33.1	72
2.486	36.1	37
1.915	47.5	34
1.831	49.8	27
1.627	56.6	25
1.621	56.8	17
1.474	63.1	19

Crystal structure
```
MnV3Cu2P6O24
1.0
4.306 2.486 6.960
-4.306 2.486 6.960
0.000 -4.972 6.960
Mn V Cu P O
1 3 2 6 24
direct
0.000 0.000 0.000
0.215 0.215 0.215
0.501 0.501 0.501
0.716 0.716 0.716
0.359 0.359 0.359
0.859 0.859 0.859
0.106 0.816 0.401
0.317 0.606 0.899
0.401 0.106 0.816
0.606 0.899 0.317
0.816 0.401 0.106
0.899 0.317 0.606
0.052 0.842 0.244
0.095 0.301 0.441
0.126 0.769 0.905
0.165 0.980 0.361
0.244 0.052 0.842
0.270 0.620 0.429
0.301 0.441 0.095
0.361 0.165 0.980
0.365 0.534 0.743
0.429 0.270 0.620
0.441 0.095 0.301
0.479 0.666 0.862
0.534 0.743 0.365
0.596 0.940 0.802
0.620 0.429 0.270
0.666 0.862 0.479
0.743 0.365 0.534
0.769 0.905 0.126
0.802 0.596 0.940
0.842 0.244 0.052
0.862 0.479 0.666
0.905 0.126 0.769
0.940 0.802 0.596
0.980 0.361 0.165
```

# Sr2Pr2MnCuO8
Simulated powder X-ray diffraction pattern, Cu Kα (weighted mean of Kα1 and Kα2). Input: a crystal structure in Alexandria, relaxed with PBE+U.
No peak broadening, texture or thermal motion is included.

Principal peaks in the range 10° ≤ 2θ ≤ 90°, sorted by position:
d [Å]	2θ (°)	Rel. int.
3.694	24.1	16
2.853	31.3	100
2.730	32.8	71
2.123	42.6	18
2.118	42.7	12
2.071	43.7	28
1.930	47.1	37
1.673	54.9	13
1.599	57.7	36
1.427	65.4	21

Crystal structure
```
Sr2Pr2MnCuO8
1.0
3.861 0.000 0.000
0.000 3.861 0.000
0.000 0.000 12.707
Sr Pr Mn Cu O
2 2 1 1 8
direct
0.000 0.000 0.143
0.000 0.000 0.857
0.500 0.500 0.361
0.500 0.500 0.639
0.500 0.500 0.000
0.000 0.000 0.500
0.000 0.000 0.340
0.000 0.000 0.660
0.000 0.500 0.000
0.000 0.500 0.500
0.500 0.000 0.000
0.500 0.000 0.500
0.500 0.500 0.183
0.500 0.500 0.817
```

# PuMn2CuO8
Simulated powder X-ray diffraction pattern, Cu Kα (weighted mean of Kα1 and Kα2). Input: a crystal structure in Alexandria, relaxed with PBE+U.
No peak broadening, texture or thermal motion is included.

Principal peaks in the range 10° ≤ 2θ ≤ 90°, sorted by position:
d [Å]	2θ (°)	Rel. int.
4.764	18.6	36
4.724	18.8	77
3.369	26.5	100
2.743	32.6	27
2.720	32.9	93
2.382	37.8	20
2.128	42.5	25
1.792	51.0	67
1.684	54.5	17
1.432	65.1	18

Crystal structure
```
PuMn2CuO8
1.0
-3.369 3.369 3.312
3.369 -3.369 3.312
3.369 3.369 -3.312
Pu Mn Cu O
1 2 1 8
direct
0.000 0.000 0.000
0.500 0.500 0.000
0.750 0.250 0.500
0.250 0.750 0.500
0.330 0.042 0.288
0.330 0.138 0.808
0.330 0.522 0.192
0.478 0.670 0.808
0.754 0.042 0.712
0.862 0.670 0.192
0.958 0.246 0.288
0.958 0.670 0.712
```

# Sr2MnCu2S2O2
Simulated powder X-ray diffraction pattern, Cu Kα (weighted mean of Kα1 and Kα2). Input: a crystal structure in Alexandria, relaxed with PBE+U.
No peak broadening, texture or thermal motion is included.

Principal peaks in the range 10° ≤ 2θ ≤ 90°, sorted by position:
d [Å]	2θ (°)	Rel. int.
2.759	32.4	53
2.673	33.5	100
2.425	37.1	68
2.144	42.1	20
2.055	44.1	66
1.629	56.5	42
1.505	61.6	23
1.453	64.1	20
1.246	76.4	14
1.194	80.5	15

Crystal structure
```
Sr2MnCu2S2O2
1.0
-2.055 2.055 8.799
2.055 -2.055 8.799
2.055 2.055 -8.799
Sr Mn Cu S O
2 1 2 2 2
direct
0.093 0.093 0.000
0.907 0.907 0.000
0.500 0.500 0.000
0.250 0.750 0.500
0.750 0.250 0.500
0.326 0.326 0.000
0.674 0.674 0.000
0.000 0.500 0.500
0.500 0.000 0.500
```

# Sr2MnCuSO3
Simulated powder X-ray diffraction pattern, Cu Kα (weighted mean of Kα1 and Kα2). Input: a crystal structure in Alexandria, relaxed with PBE+U.
No peak broadening, texture or thermal motion is included.

Principal peaks in the range 10° ≤ 2θ ≤ 90°, sorted by position:
d [Å]	2θ (°)	Rel. int.
2.799	32.0	100
2.762	32.4	29
2.722	32.9	21
2.455	36.6	22
2.275	39.6	23
2.207	40.9	14
1.953	46.5	47
1.623	56.7	28
1.602	57.5	36
1.381	67.9	14

Crystal structure
```
Sr2MnCuSO3
1.0
3.907 0.000 0.000
0.000 3.907 0.000
0.000 0.000 16.050
Sr Mn Cu S O
4 2 2 2 6
direct
0.250 0.250 0.083
0.250 0.250 0.315
0.750 0.750 0.685
0.750 0.750 0.917
0.250 0.250 0.804
0.750 0.750 0.196
0.250 0.750 0.500
0.750 0.250 0.500
0.250 0.250 0.587
0.750 0.750 0.413
0.250 0.250 0.931
0.250 0.750 0.216
0.250 0.750 0.784
0.750 0.250 0.216
0.750 0.250 0.784
0.750 0.750 0.069
```

# MnCu3Se4O12
Simulated powder X-ray diffraction pattern, Cu Kα (weighted mean of Kα1 and Kα2). Input: a crystal structure in Alexandria, relaxed with PBE+U.
No peak broadening, texture or thermal motion is included.

Principal peaks in the range 10° ≤ 2θ ≤ 90°, sorted by position:
d [Å]	2θ (°)	Rel. int.
3.080	29.0	50
2.850	31.4	24
2.809	31.9	49
2.756	32.5	95
2.706	33.1	100
2.072	43.7	16
1.995	45.5	16
1.875	48.5	22
1.601	57.6	32
1.573	58.7	12

Crystal structure
```
MnCu3Se4O12
1.0
5.416 0.000 0.000
0.237 6.161 0.000
0.196 0.003 7.501
Mn Cu Se O
1 3 4 12
direct
0.000 0.000 0.000
0.000 0.000 0.500
0.500 0.500 0.000
0.500 0.500 0.500
0.009 0.541 0.255
0.498 0.954 0.741
0.502 0.046 0.259
0.991 0.459 0.745
0.084 0.291 0.568
0.099 0.305 0.920
0.177 0.076 0.259
0.338 0.571 0.245
0.397 0.802 0.925
0.406 0.794 0.566
0.594 0.206 0.434
0.603 0.198 0.075
0.662 0.429 0.755
0.823 0.924 0.741
0.901 0.695 0.080
0.916 0.709 0.432
```